# 1
Computed powder diffraction line list
Compound: Mg8Al3Tl3
Radiation: Cu Kα X-rays
Structure: a DFT-relaxed cell (GGA-PBE, Alexandria)
Neutral-atom scattering factors, no anomalous dispersion.

Most intense lines, 10 to 90 degrees two-theta, low angle first:
17.50 deg, 5.067 Å, rel. 55
19.41 deg, 4.573 Å, rel. 85
21.31 deg, 4.170 Å, rel. 94
25.91 deg, 3.439 Å, rel. 34
26.31 deg, 3.387 Å, rel. 34
31.44 deg, 2.846 Å, rel. 52
31.75 deg, 2.818 Å, rel. 100
32.96 deg, 2.718 Å, rel. 46
35.43 deg, 2.534 Å, rel. 24
39.40 deg, 2.287 Å, rel. 48

```
14
Lattice="7.987 -5.067 0.000 7.987 5.067 0.000 -1.244 0.000 4.404" Properties=species:S:1:pos:R:3 pbc="T T T"
Mg 5.259 2.661 3.960
Mg 4.364 1.576 1.320
Mg 9.471 2.661 0.443
Mg 4.364 -1.576 1.320
Mg 10.367 1.576 3.084
Mg 5.259 -2.661 3.960
Mg 10.367 -1.576 3.084
Mg 9.471 -2.661 0.443
Al 0.000 0.000 0.000
Al 7.365 3.565 2.202
Al 7.365 -3.565 2.202
Tl 2.152 0.000 3.062
Tl 7.987 0.000 0.000
Tl 12.579 0.000 1.341
```

# 2
Computed powder diffraction line list
Compound: Mg9Al2Tl
Radiation: Cu Kα X-rays
Structure: a DFT-relaxed cell (GGA-PBE, Alexandria)
Neutral-atom scattering factors, no anomalous dispersion.

Most intense lines, 10 to 90 degrees two-theta, low angle first:
13.26 deg, 6.677 Å, rel. 29
20.11 deg, 4.416 Å, rel. 26
21.19 deg, 4.193 Å, rel. 44
24.16 deg, 3.684 Å, rel. 32
28.47 deg, 3.135 Å, rel. 23
29.37 deg, 3.041 Å, rel. 21
35.10 deg, 2.556 Å, rel. 100
40.87 deg, 2.208 Å, rel. 33
58.92 deg, 1.568 Å, rel. 21
70.70 deg, 1.332 Å, rel. 26

```
12
Lattice="4.416 0.000 0.000 0.000 4.416 0.000 0.000 0.000 13.354" Properties=species:S:1:pos:R:3 pbc="T T T"
Mg 0.000 0.000 0.000
Mg 0.000 0.000 4.513
Mg 0.000 0.000 8.841
Mg 0.000 2.208 2.360
Mg 0.000 2.208 6.677
Mg 0.000 2.208 10.994
Mg 2.208 0.000 2.360
Mg 2.208 0.000 6.677
Mg 2.208 0.000 10.994
Al 2.208 2.208 4.499
Al 2.208 2.208 8.855
Tl 2.208 2.208 0.000
```

# 3
Computed powder diffraction line list
Compound: MgAlTl2
Radiation: Cu Kα X-rays
Structure: a DFT-relaxed cell (GGA-PBE, Alexandria)
Neutral-atom scattering factors, no anomalous dispersion.

Most intense lines, 10 to 90 degrees two-theta, low angle first:
21.87 deg, 4.065 Å, rel. 66
33.72 deg, 2.658 Å, rel. 100
36.25 deg, 2.478 Å, rel. 16
40.48 deg, 2.228 Å, rel. 24
46.48 deg, 1.954 Å, rel. 19
53.71 deg, 1.707 Å, rel. 12
55.45 deg, 1.657 Å, rel. 19
63.59 deg, 1.463 Å, rel. 13
69.33 deg, 1.355 Å, rel. 23
70.87 deg, 1.330 Å, rel. 9

```
4
Lattice="-2.228 2.228 4.957 2.228 -2.228 4.957 2.228 2.228 -4.957" Properties=species:S:1:pos:R:3 pbc="T T T"
Mg 0.000 0.000 0.000
Al 0.000 2.228 2.478
Tl 2.228 0.000 2.478
Tl 0.000 0.000 4.957
```

# 4
Computed powder diffraction line list
Compound: Mg8AlTl6
Radiation: Cu Kα X-rays
Structure: a DFT-relaxed cell (GGA-PBE, Alexandria)
Neutral-atom scattering factors, no anomalous dispersion.

Most intense lines, 10 to 90 degrees two-theta, low angle first:
13.53 deg, 6.543 Å, rel. 18
21.25 deg, 4.181 Å, rel. 37
25.28 deg, 3.523 Å, rel. 100
34.82 deg, 2.576 Å, rel. 59
37.25 deg, 2.414 Å, rel. 51
45.55 deg, 1.991 Å, rel. 21
46.77 deg, 1.942 Å, rel. 20
51.91 deg, 1.762 Å, rel. 19
60.25 deg, 1.536 Å, rel. 18
65.61 deg, 1.423 Å, rel. 18

```
15
Lattice="4.181 2.414 6.543 -4.181 2.414 6.543 0.000 -4.828 6.543" Properties=species:S:1:pos:R:3 pbc="T T T"
Mg -1.462 -2.423 7.560
Mg 0.000 0.000 3.327
Mg -2.829 0.055 12.069
Mg -1.367 2.478 7.560
Mg 1.367 -2.478 12.069
Mg 2.829 -0.055 7.560
Mg 0.000 0.000 16.302
Mg 1.462 2.423 12.069
Al 0.000 0.000 9.814
Tl -2.732 0.055 8.566
Tl -1.413 -2.339 11.063
Tl 1.319 -2.393 8.566
Tl -1.319 2.393 11.063
Tl 1.413 2.339 8.566
Tl 2.732 -0.055 11.063
```

# 5
Computed powder diffraction line list
Compound: Mg5AlTl2
Radiation: Cu Kα X-rays
Structure: a DFT-relaxed cell (GGA-PBE, Alexandria)
Neutral-atom scattering factors, no anomalous dispersion.

Most intense lines, 10 to 90 degrees two-theta, low angle first:
10.03 deg, 8.815 Å, rel. 100
20.15 deg, 4.408 Å, rel. 24
27.59 deg, 3.233 Å, rel. 23
29.43 deg, 3.035 Å, rel. 40
34.40 deg, 2.607 Å, rel. 65
39.42 deg, 2.286 Å, rel. 23
40.78 deg, 2.213 Å, rel. 15
44.65 deg, 2.029 Å, rel. 13
58.14 deg, 1.587 Å, rel. 14
68.27 deg, 1.374 Å, rel. 18

```
8
Lattice="-2.286 2.286 8.815 2.286 -2.286 8.815 2.286 2.286 -8.815" Properties=species:S:1:pos:R:3 pbc="T T T"
Mg 0.000 0.000 0.000
Mg 2.286 0.000 2.068
Mg 2.286 0.000 6.747
Mg 0.000 2.286 2.068
Mg 0.000 2.286 6.747
Al 0.000 0.000 8.815
Tl 0.000 0.000 4.353
Tl 0.000 0.000 13.278
```

# 6
Computed powder diffraction line list
Compound: Tm3Mg2Al2
Radiation: Cu Kα X-rays
Structure: a DFT-relaxed cell (GGA-PBE, Alexandria)
Neutral-atom scattering factors, no anomalous dispersion.

Most intense lines, 10 to 90 degrees two-theta, low angle first:
20.50 deg, 4.332 Å, rel. 83
24.30 deg, 3.663 Å, rel. 63
25.64 deg, 3.474 Å, rel. 47
28.65 deg, 3.116 Å, rel. 39
33.05 deg, 2.710 Å, rel. 100
35.06 deg, 2.559 Å, rel. 84
35.62 deg, 2.521 Å, rel. 83
38.82 deg, 2.320 Å, rel. 37
55.29 deg, 1.662 Å, rel. 47
64.87 deg, 1.437 Å, rel. 43

```
7
Lattice="2.210 -10.988 0.000 2.210 10.988 0.000 0.000 0.000 3.474" Properties=species:S:1:pos:R:3 pbc="T T T"
Tm 0.000 0.000 0.000
Tm 2.210 7.415 0.000
Tm 2.210 -7.415 0.000
Mg 2.210 1.763 1.737
Mg 2.210 -1.763 1.737
Al 2.210 4.781 1.737
Al 2.210 -4.781 1.737
```

# 7
Computed powder diffraction line list
Compound: Tm6MgAl
Radiation: Cu Kα X-rays
Structure: a DFT-relaxed cell (GGA-PBE, Alexandria)
Neutral-atom scattering factors, no anomalous dispersion.

Most intense lines, 10 to 90 degrees two-theta, low angle first:
27.46 deg, 3.248 Å, rel. 100
29.92 deg, 2.987 Å, rel. 65
30.17 deg, 2.962 Å, rel. 60
30.42 deg, 2.939 Å, rel. 36
30.78 deg, 2.905 Å, rel. 70
34.57 deg, 2.595 Å, rel. 72
43.82 deg, 2.066 Å, rel. 28
46.78 deg, 1.942 Å, rel. 31
47.13 deg, 1.929 Å, rel. 27
61.35 deg, 1.511 Å, rel. 22

```
8
Lattice="3.368 -5.877 0.000 3.368 5.877 0.000 -3.231 0.000 5.973" Properties=species:S:1:pos:R:3 pbc="T T T"
Tm 0.732 2.447 1.497
Tm -0.826 0.000 4.495
Tm 0.732 -2.447 1.497
Tm 2.773 2.447 4.476
Tm 4.332 0.000 1.478
Tm 2.773 -2.447 4.476
Mg 1.753 0.000 2.987
Al 0.000 0.000 0.000
```

# 8
Computed powder diffraction line list
Compound: Tm2Mg2Al15
Radiation: Cu Kα X-rays
Structure: a DFT-relaxed cell (GGA-PBE, Alexandria)
Neutral-atom scattering factors, no anomalous dispersion.

Most intense lines, 10 to 90 degrees two-theta, low angle first:
12.38 deg, 7.148 Å, rel. 100
18.27 deg, 4.856 Å, rel. 38
28.38 deg, 3.145 Å, rel. 26
28.85 deg, 3.095 Å, rel. 18
31.92 deg, 2.803 Å, rel. 35
33.96 deg, 2.640 Å, rel. 38
37.03 deg, 2.428 Å, rel. 41
38.83 deg, 2.319 Å, rel. 33
39.54 deg, 2.279 Å, rel. 21
42.25 deg, 2.139 Å, rel. 32

```
19
Lattice="4.856 2.803 4.521 -4.856 2.803 4.521 0.000 -5.607 4.521" Properties=species:S:1:pos:R:3 pbc="T T T"
Tm 0.000 0.000 1.546
Tm 0.000 0.000 12.017
Mg 0.000 0.000 4.968
Mg 0.000 0.000 8.594
Al -4.856 0.000 6.781
Al -1.386 -3.207 4.521
Al -2.428 1.402 2.260
Al -3.470 0.403 4.521
Al -2.370 -1.368 6.435
Al 1.386 -3.207 4.521
Al -2.084 2.803 4.521
Al 0.000 -2.736 7.127
Al -2.370 1.368 7.127
Al 2.428 1.402 2.260
Al 2.370 -1.368 6.435
Al 0.000 2.736 6.435
Al 3.470 0.403 4.521
Al 2.084 2.803 4.521
Al 2.370 1.368 7.127
```

# 9
Computed powder diffraction line list
Compound: TmMg3Al8
Radiation: Cu Kα X-rays
Structure: a DFT-relaxed cell (GGA-PBE, Alexandria)
Neutral-atom scattering factors, no anomalous dispersion.

Most intense lines, 10 to 90 degrees two-theta, low angle first:
10.12 deg, 8.738 Å, rel. 89
18.67 deg, 4.752 Å, rel. 61
21.28 deg, 4.175 Å, rel. 99
27.74 deg, 3.216 Å, rel. 58
32.64 deg, 2.744 Å, rel. 55
34.25 deg, 2.618 Å, rel. 32
36.17 deg, 2.483 Å, rel. 96
38.75 deg, 2.324 Å, rel. 100
39.29 deg, 2.293 Å, rel. 75
60.56 deg, 1.529 Å, rel. 40

```
12
Lattice="5.488 0.000 0.000 -2.744 4.752 0.000 0.000 0.000 8.738" Properties=species:S:1:pos:R:3 pbc="T T T"
Tm 0.000 0.000 0.000
Mg 0.000 0.000 3.270
Mg 2.744 1.584 4.361
Mg 2.744 1.584 7.571
Al 0.000 1.544 5.985
Al -1.407 3.981 5.985
Al 0.000 3.168 3.841
Al 0.000 3.168 8.172
Al 2.744 0.038 1.606
Al 1.404 2.357 1.606
Al 1.407 3.981 5.985
Al 4.083 2.357 1.606
```

# 10
Computed powder diffraction line list
Compound: Mg16UAl12
Radiation: Cu Kα X-rays
Structure: a DFT-relaxed cell (GGA-PBE, Alexandria)
Neutral-atom scattering factors, no anomalous dispersion.

Most intense lines, 10 to 90 degrees two-theta, low angle first:
11.88 deg, 7.450 Å, rel. 73
20.65 deg, 4.301 Å, rel. 36
26.76 deg, 3.332 Å, rel. 21
31.78 deg, 2.816 Å, rel. 35
36.17 deg, 2.483 Å, rel. 100
40.14 deg, 2.246 Å, rel. 20
42.01 deg, 2.151 Å, rel. 20
47.25 deg, 1.924 Å, rel. 15
62.31 deg, 1.490 Å, rel. 17
65.05 deg, 1.434 Å, rel. 31

```
29
Lattice="-5.268 5.268 5.268 5.268 -5.268 5.268 5.268 5.268 -5.268" Properties=species:S:1:pos:R:3 pbc="T T T"
Mg 3.369 3.369 -3.369
Mg 5.657 1.499 -1.499
Mg 3.369 -3.369 3.369
Mg 5.657 -1.499 1.499
Mg 4.879 1.499 1.499
Mg 3.769 3.769 -0.389
Mg 3.769 -0.389 3.769
Mg 1.899 1.899 1.899
Mg 1.499 5.657 -1.499
Mg 1.499 -1.499 5.657
Mg 1.499 4.879 1.499
Mg 1.499 1.499 4.879
Mg -3.369 3.369 3.369
Mg -1.499 5.657 1.499
Mg -1.499 1.499 5.657
Mg -0.389 3.769 3.769
U 0.000 0.000 0.000
Al 2.901 0.953 -0.953
Al 2.901 -0.953 0.953
Al 7.635 0.953 0.953
Al 0.953 2.901 -0.953
Al 0.953 -0.953 2.901
Al -0.953 2.901 0.953
Al -0.953 0.953 2.901
Al 4.315 4.315 2.367
Al 4.315 2.367 4.315
Al 0.953 7.635 0.953
Al 0.953 0.953 7.635
Al 2.367 4.315 4.315
```

# 11
Computed powder diffraction line list
Compound: MgAlV
Radiation: Cu Kα X-rays
Structure: a DFT-relaxed cell (GGA-PBE, Alexandria)
Neutral-atom scattering factors, no anomalous dispersion.

Most intense lines, 10 to 90 degrees two-theta, low angle first:
10.38 deg, 8.521 Å, rel. 68
21.55 deg, 4.125 Å, rel. 12
38.48 deg, 2.339 Å, rel. 86
38.64 deg, 2.330 Å, rel. 100
43.90 deg, 2.062 Å, rel. 34
44.07 deg, 2.055 Å, rel. 31
46.47 deg, 1.954 Å, rel. 22
63.96 deg, 1.456 Å, rel. 19
65.82 deg, 1.419 Å, rel. 19
77.12 deg, 1.237 Å, rel. 21

```
6
Lattice="2.828 0.000 0.000 0.000 4.125 0.000 -0.428 0.000 8.521" Properties=species:S:1:pos:R:3 pbc="T T T"
Mg 0.000 0.000 0.000
Mg 1.016 2.062 6.889
Al 2.479 0.000 5.331
Al 2.676 0.000 2.722
V 1.114 2.062 3.995
V 1.370 2.062 1.596
```

# 12
Computed powder diffraction line list
Compound: Mg14AlV
Radiation: Cu Kα X-rays
Structure: a DFT-relaxed cell (GGA-PBE, Alexandria)
Neutral-atom scattering factors, no anomalous dispersion.

Most intense lines, 10 to 90 degrees two-theta, low angle first:
16.32 deg, 5.431 Å, rel. 3
32.99 deg, 2.715 Å, rel. 24
35.06 deg, 2.559 Å, rel. 27
37.49 deg, 2.399 Å, rel. 100
48.90 deg, 1.862 Å, rel. 15
58.91 deg, 1.568 Å, rel. 17
64.50 deg, 1.445 Å, rel. 19
70.43 deg, 1.337 Å, rel. 19
71.96 deg, 1.312 Å, rel. 13
80.00 deg, 1.199 Å, rel. 3

```
16
Lattice="6.271 0.000 0.000 -3.135 5.431 0.000 0.000 0.000 10.238" Properties=species:S:1:pos:R:3 pbc="T T T"
Mg 0.000 0.000 2.544
Mg 0.000 0.000 7.693
Mg -1.531 2.736 2.529
Mg -1.531 2.736 7.709
Mg 1.563 0.902 5.119
Mg 1.572 0.907 0.000
Mg 1.531 2.736 2.529
Mg 1.531 2.736 7.709
Mg 0.000 5.388 2.529
Mg 0.000 5.388 7.709
Mg 4.699 0.907 0.000
Mg 3.135 3.616 0.000
Mg 4.708 0.902 5.119
Mg 3.135 3.626 5.119
Al 0.000 3.620 5.119
V 0.000 3.620 0.000
```